Theoretical powder X-ray diffraction pattern of SrCaZr4O12 for Cu Kα (λ = 1.5418 Å), from the GGA-PBE geometry in Alexandria.

Peak list (10 most intense, 2θ from 10° to 90°, sorted by position)
- 18.6°, rel. 41
- 21.2°, rel. 68
- 22.2°, rel. 39
- 30.1°, rel. 57
- 30.8°, rel. 100
- 43.1°, rel. 45
- 49.0°, rel. 15
- 50.4°, rel. 24
- 54.0°, rel. 43
- 55.3°, rel. 15

Crystal structure
```
data_SrCaZr4O12
_chemical_formula_sum 'Sr1 Ca1 Zr4 O12'
_cell_length_a 8.3855
_cell_length_b 5.8060
_cell_length_c 5.8060
_cell_angle_alpha 92.61
_cell_angle_beta 90.00
_cell_angle_gamma 90.00
_symmetry_space_group_name_H-M 'P 1'
_symmetry_Int_Tables_number 1
loop_
_symmetry_equiv_pos_as_xyz
'x,y,z'
loop_
_atom_site_label
_atom_site_fract_x
_atom_site_fract_y
_atom_site_fract_z
_atom_site_occupancy
Sr1 0.0000 0.0000 0.0000 1
Ca1 0.5000 0.6048 0.6048 1
Zr1 0.2607 0.0817 0.5412 1
Zr2 0.2607 0.5412 0.0817 1
Zr3 0.7393 0.0817 0.5412 1
Zr4 0.7393 0.5412 0.0817 1
O1 0.0000 0.0754 0.5394 1
O2 0.0000 0.5394 0.0754 1
O3 0.2196 0.2602 0.8585 1
O4 0.2196 0.8585 0.2602 1
O5 0.2447 0.7762 0.7762 1
O6 0.3076 0.3796 0.3796 1
O7 0.5000 0.5681 0.9985 1
O8 0.5000 0.9985 0.5681 1
O9 0.6924 0.3796 0.3796 1
O10 0.7553 0.7762 0.7762 1
O11 0.7804 0.2602 0.8585 1
O12 0.7804 0.8585 0.2602 1
```